(1)
Structure and simulated powder diffraction line list of Mg14TiSiO16 (a structure optimized by DFT (PBE); copper Kα).

Most intense lines, 2θ = 10–80°, in order of rising 2θ:
2theta  intensity
36.15  38.3
41.80  100.0
41.94  99.8
42.23  97.6
60.71  56.3
60.93  55.6
61.03  55.7
76.71  50.5

abc: 4.2804 8.6172 8.6431
angles: 90.00 90.00 90.00
Fractional coordinates of all 32 atoms:
Mg  0.0000  0.0000  0.0000
Mg  0.0000  0.2493  0.2479
Mg  0.0000  0.2493  0.7521
Mg  0.0000  0.5000  0.0000
Mg  0.0000  0.7507  0.2479
Mg  0.0000  0.7507  0.7521
Mg  0.5000  0.0000  0.2474
Mg  0.5000  0.0000  0.7526
Mg  0.5000  0.2501  0.0000
Mg  0.5000  0.2504  0.5000
Mg  0.5000  0.5000  0.2469
Mg  0.5000  0.5000  0.7531
Mg  0.5000  0.7499  0.0000
Mg  0.5000  0.7496  0.5000
Ti  0.0000  0.0000  0.5000
Si  0.0000  0.5000  0.5000
O  0.0000  0.0000  0.2414
O  0.0000  0.0000  0.7586
O  0.0000  0.2478  0.5000
O  0.0000  0.2492  0.0000
O  0.0000  0.5000  0.2371
O  0.0000  0.5000  0.7629
O  0.0000  0.7508  0.0000
O  0.0000  0.7522  0.5000
O  0.5000  0.0000  0.0000
O  0.5000  0.0000  0.5000
O  0.5000  0.2503  0.2517
O  0.5000  0.2503  0.7483
O  0.5000  0.5000  0.0000
O  0.5000  0.5000  0.5000
O  0.5000  0.7497  0.2517
O  0.5000  0.7497  0.7483


(2)
Structure and simulated powder diffraction line list of MgTi2Si4O12 (a structure optimized by DFT (PBE); copper Kα).

Most intense lines, 2θ = 10–80°, in order of rising 2θ:
2theta  intensity
13.36  46.0
19.81  65.3
20.11  48.9
24.36  37.8
28.57  44.3
29.01  100.0
35.72  43.8
41.03  50.0

abc: 6.8838 6.8838 5.2998
angles: 104.05 104.05 79.79
Fractional coordinates of all 19 atoms:
Mg  0.0000  0.0000  0.0000
Ti  0.4668  0.5332  0.5000
Ti  0.6679  0.3321  0.0000
Si  0.2196  0.2472  0.9988
Si  0.3986  0.0497  0.5068
Si  0.7528  0.7804  0.0012
Si  0.9503  0.6014  0.4932
O  0.1875  0.5208  0.5221
O  0.2371  0.1008  0.7077
O  0.2672  0.0754  0.2009
O  0.3876  0.4001  0.1047
O  0.4792  0.8125  0.4779
O  0.5466  0.2299  0.6060
O  0.5999  0.6124  0.8953
O  0.7090  0.0248  0.0282
O  0.7701  0.4534  0.3940
O  0.8992  0.7629  0.2923
O  0.9246  0.7328  0.7991
O  0.9752  0.2910  0.9718


(3)
Structure and simulated powder diffraction line list of Mg14TiSiO16 (a structure optimized by DFT (PBE); copper Kα).

Most intense lines, 2θ = 10–80°, in order of rising 2θ:
2theta  intensity
36.16  19.3
41.94  100.0
42.13  49.5
60.81  28.2
60.96  56.1
72.84  8.4
73.11  4.1
76.74  25.4

abc: 8.6167 8.6167 4.2896
angles: 90.00 90.00 90.00
Fractional coordinates of all 32 atoms:
Mg  0.0000  0.2525  0.0000
Mg  0.0000  0.5000  0.5000
Mg  0.0000  0.7475  0.0000
Mg  0.2471  0.5000  0.0000
Mg  0.2508  0.2508  0.5000
Mg  0.2508  0.7492  0.5000
Mg  0.2525  0.0000  0.0000
Mg  0.5000  0.0000  0.5000
Mg  0.5000  0.2471  0.0000
Mg  0.5000  0.7529  0.0000
Mg  0.7475  0.0000  0.0000
Mg  0.7492  0.2508  0.5000
Mg  0.7492  0.7492  0.5000
Mg  0.7529  0.5000  0.0000
Ti  0.5000  0.5000  0.5000
Si  0.0000  0.0000  0.5000
O  0.0000  0.0000  0.0000
O  0.0000  0.2606  0.5000
O  0.0000  0.5000  0.0000
O  0.0000  0.7394  0.5000
O  0.2438  0.5000  0.5000
O  0.2498  0.2498  0.0000
O  0.2498  0.7502  0.0000
O  0.2606  0.0000  0.5000
O  0.5000  0.0000  0.0000
O  0.5000  0.2438  0.5000
O  0.5000  0.5000  0.0000
O  0.5000  0.7562  0.5000
O  0.7394  0.0000  0.5000
O  0.7502  0.2498  0.0000
O  0.7502  0.7502  0.0000
O  0.7562  0.5000  0.5000


(4)
Structure and simulated powder diffraction line list of Mg6TiSiO8 (a structure optimized by DFT (PBE); copper Kα).

Most intense lines, 2θ = 10–80°, in order of rising 2θ:
2theta  intensity
35.89  23.6
41.36  51.0
41.84  100.0
60.29  56.9
60.66  28.3
71.86  4.8
72.53  9.3
76.08  25.7

abc: 4.3182 4.3182 8.7317
angles: 90.00 90.00 90.00
Fractional coordinates of all 16 atoms:
Mg  0.0000  0.0000  0.0000
Mg  0.0000  0.5000  0.2443
Mg  0.0000  0.5000  0.7557
Mg  0.5000  0.0000  0.2443
Mg  0.5000  0.0000  0.7557
Mg  0.5000  0.5000  0.0000
Ti  0.0000  0.0000  0.5000
Si  0.5000  0.5000  0.5000
O  0.0000  0.0000  0.2437
O  0.0000  0.0000  0.7563
O  0.0000  0.5000  0.0000
O  0.0000  0.5000  0.5000
O  0.5000  0.0000  0.0000
O  0.5000  0.0000  0.5000
O  0.5000  0.5000  0.2370
O  0.5000  0.5000  0.7630


(5)
Structure and simulated powder diffraction line list of Mg6TiSiO8 (a structure optimized by DFT (PBE); copper Kα).

Most intense lines, 2θ = 10–80°, in order of rising 2θ:
2theta  intensity
10.11  4.9
35.89  23.5
41.28  52.3
41.88  100.0
60.26  58.1
60.72  28.3
72.58  9.3
76.07  26.2

abc: 4.3143 4.3143 8.7488
angles: 90.00 90.00 90.00
Fractional coordinates of all 16 atoms:
Mg  0.0000  0.0000  0.0000
Mg  0.0000  0.0000  0.5000
Mg  0.0000  0.5000  0.2494
Mg  0.0000  0.5000  0.7506
Mg  0.5000  0.0000  0.2494
Mg  0.5000  0.0000  0.7506
Ti  0.5000  0.5000  0.0000
Si  0.5000  0.5000  0.5000
O  0.0000  0.0000  0.2506
O  0.0000  0.0000  0.7494
O  0.0000  0.5000  0.0000
O  0.0000  0.5000  0.5000
O  0.5000  0.0000  0.0000
O  0.5000  0.0000  0.5000
O  0.5000  0.5000  0.2464
O  0.5000  0.5000  0.7536